No. 1
Simulated powder X-ray diffraction pattern of BaAlCu4O7 for Cu Kα, 1.54184 Å, from a crystal structure in Alexandria, relaxed with GGA-PBE.
Intensities are scaled so that the largest is 100.

Atomic structure:
```
BaAlCu4O7
1.0
6.012 0.000 0.000
-3.006 5.206 0.000
0.000 0.000 9.835
Ba Al Cu O
2 2 8 14
direct
0.333 0.667 0.000 Ba
0.667 0.333 0.500 Ba
0.333 0.667 0.370 Al
0.667 0.333 0.870 Al
0.000 0.000 0.430 Cu
0.000 0.000 0.930 Cu
0.180 0.360 0.684 Cu
0.180 0.820 0.684 Cu
0.360 0.180 0.184 Cu
0.640 0.820 0.684 Cu
0.820 0.180 0.184 Cu
0.820 0.640 0.184 Cu
0.000 0.000 0.231 O
0.000 0.000 0.731 O
0.038 0.519 0.251 O
0.180 0.359 0.481 O
0.180 0.820 0.481 O
0.359 0.180 0.981 O
0.481 0.519 0.251 O
0.481 0.962 0.251 O
0.519 0.038 0.751 O
0.519 0.481 0.751 O
0.641 0.820 0.481 O
0.820 0.180 0.981 O
0.820 0.641 0.981 O
0.962 0.481 0.751 O
```

The 10 most intense peaks (10 to 90 degrees two-theta), low angle first:
2θ = 19.3°, d = 4.601 Å, rel. 24
2θ = 29.7°, d = 3.006 Å, rel. 24
2θ = 32.3°, d = 2.774 Å, rel. 62
2θ = 35.0°, d = 2.565 Å, rel. 78
2θ = 35.7°, d = 2.516 Å, rel. 100
2θ = 36.5°, d = 2.459 Å, rel. 26
2θ = 54.4°, d = 1.687 Å, rel. 21
2θ = 56.2°, d = 1.636 Å, rel. 21
2θ = 58.8°, d = 1.569 Å, rel. 33
2θ = 61.7°, d = 1.503 Å, rel. 32

No. 2
Simulated powder X-ray diffraction pattern of Cs2Mn3S4 for Cu Kα, 1.54184 Å, from a crystal structure in Alexandria, relaxed with GGA-PBE.
Intensities are scaled so that the largest is 100.

Atomic structure:
```
Cs2Mn3S4
1.0
2.850 -7.140 0.000
2.850 7.140 0.000
0.000 0.000 5.694
Cs Mn S
2 3 4
direct
0.000 0.500 0.245 Cs
0.500 0.000 0.755 Cs
0.000 0.000 0.000 Mn
0.000 0.000 0.500 Mn
0.500 0.500 0.500 Mn
0.145 0.329 0.737 S
0.329 0.145 0.263 S
0.671 0.855 0.263 S
0.855 0.671 0.737 S
```

The 10 most intense peaks (10 to 90 degrees two-theta), low angle first:
2θ = 22.9°, d = 3.877 Å, rel. 42
2θ = 24.9°, d = 3.570 Å, rel. 27
2θ = 29.0°, d = 3.075 Å, rel. 100
2θ = 33.9°, d = 2.646 Å, rel. 59
2θ = 38.6°, d = 2.330 Å, rel. 16
2θ = 45.0°, d = 2.014 Å, rel. 28
2θ = 49.9°, d = 1.826 Å, rel. 40
2θ = 51.1°, d = 1.786 Å, rel. 16
2θ = 54.5°, d = 1.685 Å, rel. 31
2θ = 86.7°, d = 1.123 Å, rel. 16

No. 3
Simulated powder X-ray diffraction pattern of Pm4Ho15Tm for Cu Kα, 1.54184 Å, from a crystal structure in Alexandria, relaxed with GGA-PBE.
Intensities are scaled so that the largest is 100.

Atomic structure:
```
Pm4Ho15Tm
1.0
5.019 0.000 0.000
0.000 5.019 0.000
0.000 0.000 25.041
Pm Ho Tm
4 15 1
direct
0.000 0.000 0.100 Pm
0.000 0.000 0.301 Pm
0.000 0.000 0.699 Pm
0.000 0.000 0.900 Pm
0.000 0.500 0.000 Ho
0.000 0.500 0.201 Ho
0.000 0.500 0.402 Ho
0.000 0.500 0.598 Ho
0.000 0.500 0.799 Ho
0.500 0.000 0.000 Ho
0.500 0.000 0.201 Ho
0.500 0.000 0.402 Ho
0.500 0.000 0.598 Ho
0.500 0.000 0.799 Ho
0.500 0.500 0.100 Ho
0.500 0.500 0.301 Ho
0.500 0.500 0.500 Ho
0.500 0.500 0.699 Ho
0.500 0.500 0.900 Ho
0.000 0.000 0.500 Tm
```

The 10 most intense peaks (10 to 90 degrees two-theta), low angle first:
2θ = 30.9°, d = 2.896 Å, rel. 100
2θ = 35.8°, d = 2.508 Å, rel. 51
2θ = 51.5°, d = 1.773 Å, rel. 36
2θ = 61.3°, d = 1.513 Å, rel. 29
2θ = 61.4°, d = 1.511 Å, rel. 14
2θ = 64.3°, d = 1.448 Å, rel. 12
2θ = 84.1°, d = 1.151 Å, rel. 18
2θ = 86.8°, d = 1.122 Å, rel. 6
2θ = 86.8°, d = 1.122 Å, rel. 6
2θ = 87.0°, d = 1.120 Å, rel. 5